Sm2Dy5Th4: theoretical powder XRD pattern (a wavelength of 1.5418 Å), based on DFT lattice parameters and positions (PBE).

Structure:
a b c (Å): 23.4748 3.5779 8.7327
angles (deg): 90.00 104.78 90.00
Space group C2/m (No. 12)
Symmetry-distinct sites (fractional):
1 Sm 0.2294 0.0000 0.3209 (multiplicity 4)
2 Dy 0.0000 0.5000 0.5000 (multiplicity 2)
3 Dy 0.0885 0.5000 0.2227 (multiplicity 4)
4 Dy 0.1786 0.5000 0.9432 (multiplicity 4)
5 Th 0.0454 0.0000 0.8636 (multiplicity 4)
6 Th 0.1347 0.0000 0.5906 (multiplicity 4)

Largest 6 diffraction maxima, by angle, 2θ from 10° to 80°:
Position (°2θ), intensity, h k l
30.63, 100, 3 1 1
30.72, 33, 2 0 -3
35.47, 46, 5 1 -2
35.68, 22, 6 0 2
51.07, 32, 0 2 0
60.73, 19, 8 2 -1